[1]
Ce6Zn23: simulated PXRD pattern (Cu Kα (λ = 1.5418 Å)), based on a cell relaxed with PBE.
Intensities are scaled so that the largest is 100.

Crystal structure
Lattice parameters (Å, degrees): 12.879 12.879 12.879 90.00 90.00 90.00
Space group Fm-3m (No. 225)
Symmetry-distinct sites (fractional):
Ce 0.000 0.000 0.209 (multiplicity 24)
Zn 0.000 0.000 0.500 (multiplicity 4)
Zn 0.000 0.250 0.250 (multiplicity 24)
Zn 0.123 0.123 0.377 (multiplicity 32)
Zn 0.173 0.173 0.173 (multiplicity 32)

Principal peaks in the range 10 to 80 degrees two-theta, in order of rising 2θ:
two_theta, I_rel, index
34.10, 24, 4 2 2
36.24, 68, 3 3 3
39.58, 100, 4 4 0
61.05, 18, 8 2 2
71.82, 15, 8 4 4
73.11, 15, 9 3 3

***

[2]
CeZr2Zn3: simulated PXRD pattern (Cu Kα (λ = 1.5418 Å)), based on a cell relaxed with PBE.
Intensities are scaled so that the largest is 100.

Crystal structure
Lattice parameters (Å, degrees): 3.362 3.362 10.671 90.00 90.00 90.00
Space group P4/mmm (No. 123)
Symmetry-distinct sites (fractional):
Ce 0.000 0.000 0.000 (multiplicity 1)
Zr 0.000 0.000 0.344 (multiplicity 2)
Zn 0.500 0.500 0.194 (multiplicity 2)
Zn 0.500 0.500 0.500 (multiplicity 1)

Principal peaks in the range 10 to 80 degrees two-theta, in order of rising 2θ:
two_theta, I_rel, index
36.78, 100, 1 0 3
37.84, 50, 1 1 0
54.59, 17, 2 0 0
65.56, 14, 1 1 6
67.65, 32, 2 1 3
78.25, 8, 2 0 6

***

[3]
Ce3Zr2: simulated PXRD pattern (Cu Kα (λ = 1.5418 Å)), based on a cell relaxed with PBE.
Intensities are scaled so that the largest is 100.

Crystal structure
Lattice parameters (Å, degrees): 6.2797 6.2797 12.0171 90.00 90.00 120.00
Space group R-3m (No. 166, hexagonal axes)
Symmetry-distinct sites (fractional):
Ce 0.0000 0.5000 0.0000 (multiplicity 9)
Zr 0.0000 0.0000 0.1168 (multiplicity 6)

Principal peaks in the range 10 to 80 degrees two-theta, in order of rising 2θ:
two_theta, I_rel, index
22.19, 30, 0 0 3
33.80, 100, 0 2 1
34.09, 33, 1 0 4
36.30, 84, 2 0 2
54.06, 17, 2 1 4
58.82, 24, 2 2 0